Calculated PXRD pattern
Compound: BaAl2Ga4Cu
Radiation: Cu Kα
Structure: a crystal structure in Alexandria, relaxed with PBE
Kinematic intensities with the Lorentz-polarization factor, no thermal factor.

Atomic structure:
```
data_BaAl2Ga4Cu
_symmetry_space_group_name_H-M 'R -3 m'
_symmetry_Int_Tables_number 166
_symmetry_space_group_name_Hall '-R 3 2"'
_cell_length_a 4.5800
_cell_length_b 4.5800
_cell_length_c 27.9402
_cell_angle_alpha 90.00
_cell_angle_beta 90.00
_cell_angle_gamma 120.00
loop_
_atom_site_label
_atom_site_type_symbol
_atom_site_fract_x
_atom_site_fract_y
_atom_site_fract_z
Ba1 Ba 0.0000 0.0000 0.0000
Al1 Al 0.0000 0.0000 0.2347
Ga1 Ga 0.0000 0.0000 0.1359
Ga2 Ga 0.0000 0.0000 0.4098
Cu1 Cu 0.0000 0.0000 0.5000
```

Top 10 peaks for 15° ≤ 2θ ≤ 90°, by angle:
23.31 deg, rel. 466; 27.58 deg, rel. 233; 31.81 deg, rel. 428; 34.21 deg, rel. 565; 39.35 deg, rel. 1000; 42.25 deg, rel. 210; 53.11 deg, rel. 156; 56.35 deg, rel. 141; 68.06 deg, rel. 149; 71.35 deg, rel. 207